(1)
Structure and calculated powder X-ray diffraction pattern of Lu4AuN3 (a GGA-PBE-relaxed structure; Cu Ka).
Kinematic intensities with the Lorentz-polarization factor, no thermal factor.

Main lines, by angle (5° ≤ 2θ ≤ 70°):
index	2θ (°)	Rel. int.
1 0 1	30.85	28
1 0 2	31.47	12
1 0 4	33.84	39
0 0 10	35.50	100
1 0 6	37.48	73
1 0 11	50.52	14
1 1 0	54.48	38
1 1 10	66.72	42
1 0 16	67.35	12
2 0 6	68.00	13

Structure:
```
data_Lu4AuN3
_chemical_formula_sum 'Lu8 Au2 N6'
_symmetry_space_group_name_H-M 'P 63/m m c'
_symmetry_Int_Tables_number 194
_symmetry_space_group_name_Hall '-P 6c 2c'
_cell_length_a 3.3687
_cell_length_b 3.3687
_cell_length_c 25.3042
_cell_angle_alpha 90.00
_cell_angle_beta 90.00
_cell_angle_gamma 120.00
loop_
_atom_site_label
_atom_site_type_symbol
_atom_site_fract_x
_atom_site_fract_y
_atom_site_fract_z
_atom_site_occupancy
Lu1 Lu 0.0000 0.0000 0.1600 1
Lu2 Lu 0.3333 0.6667 0.0529 1
Au1 Au 0.3333 0.6667 0.2500 1
N1 N 0.0000 0.0000 0.0000 1
N2 N 0.3333 0.6667 0.6095 1
```

***

(2)
Structure and calculated powder X-ray diffraction pattern of B2Mo2Os (a GGA-PBE-relaxed structure; Cu Ka).
Kinematic intensities with the Lorentz-polarization factor, no thermal factor.

Main lines, by angle (5° ≤ 2θ ≤ 70°):
index	2θ (°)	Rel. int.
1 1 0	14.85	26
1 0 1	31.36	34
1 1 1	32.75	20
3 1 0	36.68	20
0 4 0	37.30	39
3 2 0	40.23	44
2 2 1	42.19	100
1 3 1	42.37	21
1 4 1	49.51	19
0 0 2	60.14	13

Structure:
```
data_B2Mo2Os
_chemical_formula_sum 'B8 Mo8 Os4'
_symmetry_space_group_name_H-M 'P n n m'
_symmetry_Int_Tables_number 58
_symmetry_space_group_name_Hall '-P 2 2n'
_cell_length_a 7.5958
_cell_length_b 9.6422
_cell_length_c 3.0772
_cell_angle_alpha 90.00
_cell_angle_beta 90.00
_cell_angle_gamma 90.00
loop_
_atom_site_label
_atom_site_type_symbol
_atom_site_fract_x
_atom_site_fract_y
_atom_site_fract_z
_atom_site_occupancy
B1 B 0.1131 0.0399 0.0000 1
B2 B 0.1209 0.2333 0.0000 1
Mo1 Mo 0.0773 0.8608 0.5000 1
Mo2 Mo 0.1947 0.6304 0.0000 1
Os1 Os 0.1172 0.3932 0.5000 1
```

***

(3)
Structure and calculated powder X-ray diffraction pattern of Pr2FeSi2Os (a GGA-PBE-relaxed structure; Cu Ka).
Kinematic intensities with the Lorentz-polarization factor, no thermal factor.

Main lines, by angle (5° ≤ 2θ ≤ 70°):
index	2θ (°)	Rel. int.
0 0 1	12.47	50
1 0 1	24.92	96
1 1 1	33.14	93
1 0 2	33.26	70
0 0 3	38.02	30
1 1 2	39.95	100
2 0 0	43.79	64
2 1 1	51.04	29
2 1 2	56.08	32
2 0 3	59.36	33

Structure:
```
data_Pr2FeSi2Os
_chemical_formula_sum 'Pr2 Fe1 Si2 Os1'
_symmetry_space_group_name_H-M 'P -4 m 2'
_symmetry_Int_Tables_number 115
_symmetry_space_group_name_Hall 'P -4 -2'
_cell_length_a 4.1347
_cell_length_b 4.1347
_cell_length_c 7.1004
_cell_angle_alpha 90.00
_cell_angle_beta 90.00
_cell_angle_gamma 90.00
loop_
_atom_site_label
_atom_site_type_symbol
_atom_site_fract_x
_atom_site_fract_y
_atom_site_fract_z
_atom_site_occupancy
Pr1 Pr 0.0000 0.5000 0.1794 1
Fe1 Fe 0.0000 0.0000 0.5000 1
Si1 Si 0.0000 0.5000 0.6694 1
Os1 Os 0.5000 0.5000 0.5000 1
```

***

(4)
Structure and calculated powder X-ray diffraction pattern of K2LiTcCl6 (a GGA-PBE-relaxed structure; Cu Ka).
Kinematic intensities with the Lorentz-polarization factor, no thermal factor.

Main lines, by angle (5° ≤ 2θ ≤ 70°):
index	2θ (°)	Rel. int.
1 0 1	15.62	100
1 1 0	18.09	31
2 0 0	25.64	56
2 1 1	30.20	35
2 0 2	31.53	59
0 0 4	36.43	44
2 2 0	36.64	83
2 2 4	52.63	52
4 0 0	52.79	25
4 0 4	65.84	24

Structure:
```
data_K2LiTcCl6
_chemical_formula_sum 'K4 Li2 Tc2 Cl12'
_symmetry_space_group_name_H-M 'I 4/m'
_symmetry_Int_Tables_number 87
_symmetry_space_group_name_Hall '-I 4'
_cell_length_a 6.9368
_cell_length_b 6.9368
_cell_length_c 9.8646
_cell_angle_alpha 90.00
_cell_angle_beta 90.00
_cell_angle_gamma 90.00
loop_
_atom_site_label
_atom_site_type_symbol
_atom_site_fract_x
_atom_site_fract_y
_atom_site_fract_z
_atom_site_occupancy
K1 K 0.0000 0.5000 0.2500 1
Li1 Li 0.0000 0.0000 0.0000 1
Tc1 Tc 0.0000 0.0000 0.5000 1
Cl1 Cl 0.0000 0.0000 0.2566 1
Cl2 Cl 0.2284 0.7399 0.5000 1
```

***

(5)
Structure and calculated powder X-ray diffraction pattern of ErTm2Bi3 (a GGA-PBE-relaxed structure; Cu Ka).
Kinematic intensities with the Lorentz-polarization factor, no thermal factor.

Main lines, by angle (5° ≤ 2θ ≤ 70°):
index	2θ (°)	Rel. int.
0 1 1	24.65	1
1 0 2	28.50	100
0 1 4	40.65	39
1 1 0	40.84	39
2 0 1	48.23	1
0 0 6	50.24	7
0 2 2	50.55	21
2 0 4	58.99	13
1 1 6	66.67	19
2 1 2	66.93	18

Structure:
```
data_ErTm2Bi3
_chemical_formula_sum 'Er1 Tm2 Bi3'
_symmetry_space_group_name_H-M 'P -3 m 1'
_symmetry_Int_Tables_number 164
_symmetry_space_group_name_Hall '-P 3 2"'
_cell_length_a 4.4192
_cell_length_b 4.4192
_cell_length_c 10.8957
_cell_angle_alpha 90.00
_cell_angle_beta 90.00
_cell_angle_gamma 120.00
loop_
_atom_site_label
_atom_site_type_symbol
_atom_site_fract_x
_atom_site_fract_y
_atom_site_fract_z
_atom_site_occupancy
Er1 Er 0.0000 0.0000 0.0000 1
Tm1 Tm 0.3333 0.6667 0.3333 1
Bi1 Bi 0.0000 0.0000 0.5000 1
Bi2 Bi 0.3333 0.6667 0.8332 1
```

***

(6)
Structure and calculated powder X-ray diffraction pattern of Cu6BiSe6 (a GGA-PBE-relaxed structure; Cu Ka).
Kinematic intensities with the Lorentz-polarization factor, no thermal factor.

Main lines, by angle (5° ≤ 2θ ≤ 70°):
index	2θ (°)	Rel. int.
2 0 5	24.74	60
1 1 2	24.87	48
2 1 0	28.95	99
2 1 1	29.14	59
1 1 7	33.41	46
2 1 8	39.47	58
4 1 2	44.42	55
0 2 0	45.07	100
4 1 5	47.14	93
0 1 13	49.14	74

Structure:
```
data_Cu6BiSe6
_chemical_formula_sum 'Cu24 Bi4 Se24'
_symmetry_space_group_name_H-M 'P n m a'
_symmetry_Int_Tables_number 62
_symmetry_space_group_name_Hall '-P 2ac 2n'
_cell_length_a 9.6087
_cell_length_b 4.0233
_cell_length_c 27.1578
_cell_angle_alpha 90.00
_cell_angle_beta 90.00
_cell_angle_gamma 90.00
loop_
_atom_site_label
_atom_site_type_symbol
_atom_site_fract_x
_atom_site_fract_y
_atom_site_fract_z
_atom_site_occupancy
Cu1 Cu 0.0266 0.2500 0.1155 1
Cu2 Cu 0.0700 0.2500 0.0228 1
Cu3 Cu 0.0819 0.2500 0.4959 1
Cu4 Cu 0.1505 0.2500 0.2595 1
Cu5 Cu 0.1919 0.2500 0.7858 1
Cu6 Cu 0.2161 0.7500 0.4464 1
Bi1 Bi 0.1037 0.2500 0.6378 1
Se1 Se 0.0113 0.7500 0.2683 1
Se2 Se 0.0288 0.2500 0.9342 1
Se3 Se 0.1338 0.2500 0.4000 1
Se4 Se 0.1694 0.7500 0.5363 1
Se5 Se 0.1832 0.7500 0.8327 1
Se6 Se 0.2137 0.2500 0.1724 1
```

***

(7)
Structure and calculated powder X-ray diffraction pattern of Pr4Ga4O11 (a GGA-PBE-relaxed structure; Cu Ka).
Kinematic intensities with the Lorentz-polarization factor, no thermal factor.

Main lines, by angle (5° ≤ 2θ ≤ 70°):
index	2θ (°)	Rel. int.
1 1 2	32.21	49
1 1 -2	32.36	51
0 2 0	32.59	47
1 -1 2	32.77	52
-1 1 2	32.91	100
2 2 0	46.19	26
0 0 4	46.42	29
2 -2 0	47.80	24
3 1 2	57.89	43
3 1 -2	58.21	22

Structure:
```
data_Pr4Ga4O11
_chemical_formula_sum 'Pr4 Ga4 O11'
_symmetry_space_group_name_H-M 'P 1'
_symmetry_Int_Tables_number 1
_symmetry_space_group_name_Hall 'P 1'
_cell_length_a 5.4444
_cell_length_b 5.4978
_cell_length_c 7.8243
_cell_angle_alpha 89.98
_cell_angle_beta 89.67
_cell_angle_gamma 88.14
loop_
_atom_site_label
_atom_site_type_symbol
_atom_site_fract_x
_atom_site_fract_y
_atom_site_fract_z
_atom_site_occupancy
Pr1 Pr 0.0000 0.0000 0.0000 1
Pr2 Pr 0.0155 0.0845 0.5023 1
Pr3 Pr 0.5080 0.5929 0.5093 1
Pr4 Pr 0.5339 0.5156 0.0073 1
Ga1 Ga 0.0179 0.5470 0.2558 1
Ga2 Ga 0.0484 0.5198 0.7527 1
Ga3 Ga 0.5090 0.0519 0.7570 1
Ga4 Ga 0.5109 0.0530 0.2547 1
O1 O 0.0960 0.5615 0.0092 1
O2 O 0.2303 0.8367 0.2971 1
O3 O 0.2312 0.8428 0.7145 1
O4 O 0.3035 0.3382 0.3072 1
O5 O 0.4303 0.0710 0.0055 1
O6 O 0.5858 0.0397 0.5067 1
O7 O 0.7273 0.7641 0.2133 1
O8 O 0.7341 0.7607 0.7959 1
O9 O 0.7863 0.2657 0.7945 1
O10 O 0.8018 0.2604 0.2117 1
O11 O 0.9341 0.5379 0.5009 1
```

***

(8)
Structure and calculated powder X-ray diffraction pattern of Nd4CI4Br (a GGA-PBE-relaxed structure; Cu Ka).
Kinematic intensities with the Lorentz-polarization factor, no thermal factor.

Main lines, by angle (5° ≤ 2θ ≤ 70°):
index	2θ (°)	Rel. int.
0 0 1	10.51	24
3 1 -1	26.98	15
6 0 0	28.20	46
3 1 1	29.31	20
1 1 -2	30.24	100
5 1 0	32.29	36
5 1 2	41.71	29
2 0 -4	41.94	41
0 2 0	44.60	19
6 2 0	53.60	15

Structure:
```
data_Nd4CI4Br
_chemical_formula_sum 'Nd8 C2 I8 Br2'
_symmetry_space_group_name_H-M 'C 1 2/m 1'
_symmetry_Int_Tables_number 12
_symmetry_space_group_name_Hall '-C 2y'
_cell_length_a 19.4401
_cell_length_b 4.0636
_cell_length_c 8.6139
_cell_angle_alpha 90.00
_cell_angle_beta 102.38
_cell_angle_gamma 90.00
loop_
_atom_site_label
_atom_site_type_symbol
_atom_site_fract_x
_atom_site_fract_y
_atom_site_fract_z
_atom_site_occupancy
Nd1 Nd 0.0010 0.0000 0.2969 1
Nd2 Nd 0.1330 0.5000 0.5668 1
C1 C 0.0000 0.5000 0.5000 1
I1 I 0.1644 0.0000 0.8522 1
I2 I 0.1702 0.0000 0.3132 1
Br1 Br 0.0000 0.5000 0.0000 1
```

***

(9)
Structure and calculated powder X-ray diffraction pattern of Hf3Ni2As4Pd2 (a GGA-PBE-relaxed structure; Cu Ka).
Kinematic intensities with the Lorentz-polarization factor, no thermal factor.

Main lines, by angle (5° ≤ 2θ ≤ 70°):
index	2θ (°)	Rel. int.
0 0 1	11.89	25
2 1 0	36.06	46
1 1 2	36.23	74
2 0 -2	36.66	22
2 1 1	38.10	100
1 0 3	38.83	37
0 1 3	43.36	55
1 1 -3	45.62	27
0 2 0	47.01	41
3 0 -2	48.54	23

Structure:
```
data_Hf3Ni2As4Pd2
_chemical_formula_sum 'Hf3 Ni2 As4 Pd2'
_symmetry_space_group_name_H-M 'P 1 m 1'
_symmetry_Int_Tables_number 6
_symmetry_space_group_name_Hall 'P -2y'
_cell_length_a 6.5132
_cell_length_b 3.8661
_cell_length_c 7.4449
_cell_angle_alpha 90.00
_cell_angle_beta 90.02
_cell_angle_gamma 90.00
loop_
_atom_site_label
_atom_site_type_symbol
_atom_site_fract_x
_atom_site_fract_y
_atom_site_fract_z
_atom_site_occupancy
Hf1 Hf 0.0000 0.0000 0.0000 1
Hf2 Hf 0.0686 0.5000 0.6235 1
Hf3 Hf 0.5607 0.5000 0.4813 1
Ni1 Ni 0.1518 0.5000 0.2496 1
Ni2 Ni 0.6745 0.5000 0.8565 1
As1 As 0.2902 0.0000 0.3971 1
As2 As 0.2914 0.5000 0.9516 1
As3 As 0.7485 0.5000 0.1667 1
As4 As 0.7747 0.0000 0.6926 1
Pd1 Pd 0.3786 0.0000 0.7436 1
Pd2 Pd 0.8915 0.0000 0.3690 1
```